The following is a theoretical powder XRD pattern of MgFeBiO5. It was derived from a PBE+U-relaxed structure, using Cu Kα, 1.54184 Å.
Lines closer than 0.1° are merged.

Principal peaks in the range 2θ from 10° to 90°, by angle:
- (0 1 1), 2θ = 14.0°, I 25.4
- (1 0 0), 2θ = 17.6°, I 100.0
- (0 2 1), 2θ = 20.3°, I 39.8
- (0 1 2), 2θ = 24.0°, I 36.4
- (1 1 -2), 2θ = 24.7°, I 72.3
- (1 2 1), 2θ = 29.5°, I 72.7
- (0 4 0), 2θ = 34.2°, I 40.5
- (2 1 -1), 2θ = 34.4°, I 21.8
- (1 3 -2), 2θ = 34.7°, I 33.5
- (2 2 1), 2θ = 44.8°, I 36.8

Cell and atoms:
```
data_MgFeBiO5
_chemical_formula_sum 'Mg4 Fe4 Bi4 O20'
_cell_length_a 5.3899
_cell_length_b 10.4652
_cell_length_c 8.4773
_cell_angle_alpha 90.00
_cell_angle_beta 110.47
_cell_angle_gamma 90.00
_space_group_name_H-M_alt 'P 1 21/c 1'
_space_group_IT_number 14
loop_
_space_group_symop_operation_xyz
'x,y,z'
'-x,-y,-z'
'-x,y+1/2,-z+1/2'
'x,-y+1/2,z+1/2'
loop_
_atom_site_label
_atom_site_type_symbol
_atom_site_fract_x
_atom_site_fract_y
_atom_site_fract_z
_atom_site_occupancy
Mg1 Mg 0.0374 0.0895 0.1677 1
Fe1 Fe 0.3611 0.6145 0.0536 1
Bi1 Bi 0.4665 0.1032 0.8433 1
O1 O 0.1818 0.5289 0.1854 1
O2 O 0.2103 0.7171 0.4961 1
O3 O 0.2559 0.0429 0.0086 1
O4 O 0.3171 0.2104 0.3063 1
O5 O 0.3508 0.5437 0.8378 1
```